(1)
Theoretical X-ray diffraction stick pattern of SnTe5Rh3 for Cu Kα (λ = 1.5418 Å), from a crystal structure in Alexandria, relaxed with GGA-PBE.

Structural model:
abc: 5.439 4.082 19.466
angles: 90.00 90.72 90.00
Space group P2/m (No. 10)
Asymmetric unit:
1 Sn 0.230 0.000 0.212
2 Te 0.207 0.000 0.877
3 Te 0.221 0.000 0.544
4 Te 0.276 0.500 0.714
5 Te 0.280 0.500 0.046
6 Te 0.280 0.500 0.375
7 Rh 0.000 0.000 0.000
8 Rh 0.005 0.000 0.666
9 Rh 0.492 0.500 0.835
10 Rh 0.500 0.500 0.500

Top 8 peaks for 10° ≤ 2θ ≤ 80°, by angle:
| d (Å) | 2θ/deg | I_rel |
| --- | --- | --- |
| 3.265 | 27.3 | 94 |
| 2.925 | 30.6 | 100 |
| 2.908 | 30.8 | 96 |
| 2.802 | 31.9 | 79 |
| 2.771 | 32.3 | 75 |
| 2.144 | 42.1 | 83 |
| 2.130 | 42.4 | 83 |
| 1.911 | 47.6 | 82 |

=====

(2)
Theoretical X-ray diffraction stick pattern of Th3Sn2Rh for Cu Kα (λ = 1.5418 Å), from a crystal structure in Alexandria, relaxed with GGA-PBE.

Structural model:
abc: 14.205 6.339 8.429
angles: 90.00 107.27 90.00
Space group C2/c (No. 15)
Asymmetric unit:
1 Th 0.000 0.001 0.250
2 Th 0.140 0.500 0.070
3 Sn 0.180 0.000 0.090
4 Rh 0.000 0.500 0.250

Top 8 peaks for 10° ≤ 2θ ≤ 80°, by angle:
| d (Å) | 2θ/deg | I_rel |
| --- | --- | --- |
| 3.510 | 25.4 | 15 |
| 3.169 | 28.2 | 61 |
| 3.083 | 29.0 | 100 |
| 2.210 | 40.8 | 81 |
| 2.107 | 42.9 | 20 |
| 1.840 | 49.5 | 16 |
| 1.755 | 52.1 | 23 |
| 1.409 | 66.3 | 20 |

=====

(3)
Theoretical X-ray diffraction stick pattern of Ti7SnRh4 for Cu Kα (λ = 1.5418 Å), from a crystal structure in Alexandria, relaxed with GGA-PBE.

Structural model:
abc: 12.381 5.009 8.137
angles: 90.00 125.02 90.00
Space group C2/m (No. 12)
Asymmetric unit:
1 Ti 0.000 0.000 0.000
2 Ti 0.061 0.500 0.401
3 Ti 0.216 0.500 0.888
4 Ti 0.219 0.000 0.671
5 Sn 0.000 0.500 0.000
6 Rh 0.058 0.000 0.742
7 Rh 0.206 0.000 0.349

Top 8 peaks for 10° ≤ 2θ ≤ 80°, by angle:
| d (Å) | 2θ/deg | I_rel |
| --- | --- | --- |
| 3.076 | 29.0 | 44 |
| 2.544 | 35.3 | 48 |
| 2.505 | 35.9 | 100 |
| 2.400 | 37.5 | 28 |
| 2.231 | 40.4 | 44 |
| 2.129 | 42.5 | 51 |
| 2.081 | 43.5 | 26 |
| 1.784 | 51.2 | 48 |

=====

(4)
Theoretical X-ray diffraction stick pattern of Tm12Sn6Rh for Cu Kα (λ = 1.5418 Å), from a crystal structure in Alexandria, relaxed with GGA-PBE.

Structural model:
abc: 12.9961 12.9961 11.9934
angles: 90.00 90.00 120.00
Space group R-3 (No. 148, hexagonal axes)
Asymmetric unit:
1 Tm 0.0312 0.1944 0.3913
2 Tm 0.0617 0.1956 0.8816
3 Sn 0.0464 0.2828 0.6416
4 Rh 0.0000 0.0000 0.0000

Top 8 peaks for 10° ≤ 2θ ≤ 80°, by angle:
| d (Å) | 2θ/deg | I_rel |
| --- | --- | --- |
| 4.007 | 22.2 | 41 |
| 3.470 | 25.7 | 34 |
| 3.249 | 27.5 | 17 |
| 2.897 | 30.9 | 40 |
| 2.769 | 32.3 | 75 |
| 2.453 | 36.6 | 100 |
| 2.372 | 37.9 | 33 |
| 1.702 | 53.8 | 18 |

=====

(5)
Theoretical X-ray diffraction stick pattern of VSnRh2 for Cu Kα (λ = 1.5418 Å), from a crystal structure in Alexandria, relaxed with GGA-PBE.

Structural model:
abc: 4.146 4.146 3.653
angles: 90.00 90.00 90.00
Space group P4/mmm (No. 123)
Asymmetric unit:
1 V 0.000 0.000 0.000
2 Sn 0.500 0.500 0.000
3 Rh 0.000 0.500 0.500

Top 8 peaks for 10° ≤ 2θ ≤ 80°, by angle:
| d (Å) | 2θ/deg | I_rel |
| --- | --- | --- |
| 4.146 | 21.4 | 8 |
| 2.741 | 32.7 | 6 |
| 2.286 | 39.4 | 100 |
| 2.073 | 43.7 | 37 |
| 1.826 | 49.9 | 13 |
| 1.466 | 63.5 | 12 |
| 1.370 | 68.5 | 19 |
| 1.234 | 77.3 | 27 |

=====

(6)
Theoretical X-ray diffraction stick pattern of Y5SnRh4 for Cu Kα (λ = 1.5418 Å), from a crystal structure in Alexandria, relaxed with GGA-PBE.

Structural model:
abc: 3.374 3.374 18.997
angles: 90.00 90.00 90.00
Space group P4/mmm (No. 123)
Asymmetric unit:
1 Y 0.000 0.000 0.000
2 Y 0.000 0.000 0.188
3 Y 0.000 0.000 0.374
4 Sn 0.500 0.500 0.500
5 Rh 0.500 0.500 0.094
6 Rh 0.500 0.500 0.282

Top 8 peaks for 10° ≤ 2θ ≤ 80°, by angle:
| d (Å) | 2θ/deg | I_rel |
| --- | --- | --- |
| 2.751 | 32.6 | 7 |
| 2.523 | 35.6 | 100 |
| 2.386 | 37.7 | 53 |
| 2.309 | 39.0 | 14 |
| 1.687 | 54.4 | 18 |
| 1.486 | 62.5 | 9 |
| 1.402 | 66.7 | 31 |
| 1.399 | 66.9 | 8 |

=====

(7)
Theoretical X-ray diffraction stick pattern of Y2Sn3Rh4 for Cu Kα (λ = 1.5418 Å), from a crystal structure in Alexandria, relaxed with GGA-PBE.

Structural model:
abc: 6.002 16.166 7.378
angles: 90.00 90.00 90.00
Space group Cmce (No. 64)
Asymmetric unit:
1 Y 0.000 0.102 0.082
2 Sn 0.000 0.000 0.500
3 Sn 0.250 0.235 0.750
4 Rh 0.000 0.170 0.475
5 Rh 0.250 0.070 0.750

Top 8 peaks for 10° ≤ 2θ ≤ 80°, by angle:
| d (Å) | 2θ/deg | I_rel |
| --- | --- | --- |
| 2.656 | 33.8 | 62 |
| 2.629 | 34.1 | 38 |
| 2.353 | 38.3 | 29 |
| 2.328 | 38.7 | 100 |
| 2.176 | 41.5 | 45 |
| 2.005 | 45.2 | 29 |
| 1.357 | 69.2 | 27 |
| 1.235 | 77.2 | 17 |

=====

(8)
Theoretical X-ray diffraction stick pattern of YSn3Rh3 for Cu Kα (λ = 1.5418 Å), from a crystal structure in Alexandria, relaxed with GGA-PBE.

Structural model:
abc: 7.147 7.147 7.147
angles: 90.00 90.00 90.00
Space group Pm-3n (No. 223)
Asymmetric unit:
1 Y 0.000 0.000 0.000
2 Sn 0.000 0.250 0.500
3 Rh 0.000 0.500 0.250

Top 8 peaks for 10° ≤ 2θ ≤ 80°, by angle:
| d (Å) | 2θ/deg | I_rel |
| --- | --- | --- |
| 5.053 | 17.6 | 35 |
| 3.573 | 24.9 | 43 |
| 2.918 | 30.6 | 100 |
| 2.063 | 43.9 | 43 |
| 1.910 | 47.6 | 59 |
| 1.787 | 51.1 | 35 |
| 1.305 | 72.4 | 17 |
| 1.263 | 75.2 | 23 |

=====

(9)
Theoretical X-ray diffraction stick pattern of Y2Sn6Rh for Cu Kα (λ = 1.5418 Å), from a crystal structure in Alexandria, relaxed with GGA-PBE.

Structural model:
abc: 7.048 4.059 8.992
angles: 90.00 112.55 90.00
Space group P2/m (No. 10)
Asymmetric unit:
1 Y 0.214 0.000 0.429
2 Sn 0.152 0.500 0.715
3 Sn 0.233 0.000 0.004
4 Sn 0.444 0.500 0.290
5 Rh 0.500 0.500 0.000

Top 8 peaks for 10° ≤ 2θ ≤ 80°, by angle:
| d (Å) | 2θ/deg | I_rel |
| --- | --- | --- |
| 3.441 | 25.9 | 46 |
| 2.903 | 30.8 | 100 |
| 2.768 | 32.3 | 37 |
| 2.539 | 35.4 | 56 |
| 2.529 | 35.5 | 51 |
| 2.247 | 40.1 | 42 |
| 2.233 | 40.4 | 37 |
| 2.030 | 44.6 | 40 |

=====

(10)
Theoretical X-ray diffraction stick pattern of Zr2Sn2Rh3 for Cu Kα (λ = 1.5418 Å), from a crystal structure in Alexandria, relaxed with GGA-PBE.

Structural model:
abc: 4.542 4.556 8.055
angles: 74.88 74.40 60.22
Space group P-1 (No. 2)
Asymmetric unit:
1 Zr 0.125 0.130 0.126
2 Sn 0.382 0.389 0.356
3 Rh 0.000 0.000 0.500
4 Rh 0.242 0.230 0.771

Top 8 peaks for 10° ≤ 2θ ≤ 80°, by angle:
| d (Å) | 2θ/deg | I_rel |
| --- | --- | --- |
| 2.345 | 38.4 | 49 |
| 2.320 | 38.8 | 49 |
| 2.306 | 39.1 | 50 |
| 2.280 | 39.5 | 100 |
| 2.271 | 39.7 | 50 |
| 1.627 | 56.5 | 20 |
| 1.319 | 71.5 | 17 |
| 1.314 | 71.9 | 17 |

=====

(11)
Theoretical X-ray diffraction stick pattern of ZrSnRh for Cu Kα (λ = 1.5418 Å), from a crystal structure in Alexandria, relaxed with GGA-PBE.

Structural model:
abc: 7.4153 7.4153 7.2911
angles: 90.00 90.00 120.00
Space group P-62c (No. 190)
Asymmetric unit:
1 Zr 0.0182 0.6119 0.2500
2 Sn 0.0000 0.2703 0.0000
3 Rh 0.0000 0.0000 0.2500
4 Rh 0.3333 0.6667 0.5354

Top 8 peaks for 10° ≤ 2θ ≤ 80°, by angle:
| d (Å) | 2θ/deg | I_rel |
| --- | --- | --- |
| 2.599 | 34.5 | 100 |
| 2.427 | 37.0 | 42 |
| 2.410 | 37.3 | 74 |
| 2.141 | 42.2 | 59 |
| 2.020 | 44.9 | 35 |
| 1.823 | 50.0 | 20 |
| 1.388 | 67.5 | 23 |
| 1.366 | 68.7 | 35 |

=====

(12)
Theoretical X-ray diffraction stick pattern of Sr8Rh5 for Cu Kα (λ = 1.5418 Å), from a crystal structure in Alexandria, relaxed with GGA-PBE.

Structural model:
abc: 7.306 7.306 7.306
angles: 90.00 90.00 90.00
Space group Pm-3m (No. 221)
Asymmetric unit:
1 Sr 0.249 0.249 0.249
2 Rh 0.000 0.000 0.000
3 Rh 0.000 0.000 0.500
4 Rh 0.500 0.500 0.500

Top 8 peaks for 10° ≤ 2θ ≤ 80°, by angle:
| d (Å) | 2θ/deg | I_rel |
| --- | --- | --- |
| 7.306 | 12.1 | 5 |
| 5.166 | 17.2 | 4 |
| 4.218 | 21.1 | 16 |
| 2.583 | 34.7 | 100 |
| 2.203 | 41.0 | 8 |
| 1.826 | 49.9 | 18 |
| 1.491 | 62.3 | 36 |
| 1.292 | 73.3 | 11 |